For Nd4Sm3Ho4, a DFT-relaxed cell (GGA-PBE, Alexandria) gives the computed powder diffraction line list in this record (Cu Kα (weighted mean of Kα1 and Kα2)).

Structural model:
```
data_Nd4Sm3Ho4
_chemical_formula_sum 'Nd8 Sm6 Ho8'
_space_group_name_H-M_alt 'I m m m'
_space_group_IT_number 71
_space_group_name_Hall '-I 2 2'
_cell_length_a 3.606
_cell_length_b 9.477
_cell_length_c 22.082
_cell_angle_alpha 90.00
_cell_angle_beta 90.00
_cell_angle_gamma 90.00
loop_
_atom_site_label
_atom_site_type_symbol
_atom_site_fract_x
_atom_site_fract_y
_atom_site_fract_z
Nd1 Nd 0.000 0.178 0.146
Sm1 Sm 0.000 0.000 0.392
Sm2 Sm 0.000 0.500 0.500
Ho1 Ho 0.000 0.318 0.000
Ho2 Ho 0.000 0.500 0.240
```

Top 10 peaks for 2θ from 10° to 80°, low angle first:
- 30.79°, d 2.904, rel. 87
- 31.09°, d 2.877, rel. 100
- 31.44°, d 2.846, rel. 52
- 32.44°, d 2.760, rel. 29
- 37.88°, d 2.375, rel. 21
- 38.76°, d 2.323, rel. 22
- 42.59°, d 2.123, rel. 27
- 56.92°, d 1.618, rel. 24
- 57.40°, d 1.605, rel. 29
- 60.43°, d 1.532, rel. 26

=====

For GeSbTePd, a DFT-relaxed cell (GGA-PBE, Alexandria) gives the computed powder diffraction line list in this record (Cu Kα (weighted mean of Kα1 and Kα2)).

Structural model:
```
data_GeSbTePd
_chemical_formula_sum 'Ge2 Sb2 Te2 Pd2'
_space_group_name_H-M_alt 'C 1 m 1'
_space_group_IT_number 8
_cell_length_a 7.111
_cell_length_b 4.103
_cell_length_c 6.612
_cell_angle_alpha 90.00
_cell_angle_beta 90.06
_cell_angle_gamma 90.00
loop_
_space_group_symop_operation_xyz
'x,y,z'
'x,-y,z'
'x+1/2,y+1/2,z'
'x+1/2,-y+1/2,z'
loop_
_atom_site_label
_atom_site_type_symbol
_atom_site_fract_x
_atom_site_fract_y
_atom_site_fract_z
Ge1 Ge 0.000 0.000 0.000
Sb1 Sb 0.333 0.000 0.750
Te1 Te 0.166 0.500 0.315
Pd1 Pd 0.499 0.500 0.537
```

Top 10 peaks for 2θ from 10° to 80°, low angle first:
- 13.39°, d 6.612, rel. 16
- 28.51°, d 3.131, rel. 97
- 37.14°, d 2.421, rel. 100
- 44.13°, d 2.052, rel. 61
- 48.61°, d 1.873, rel. 23
- 53.38°, d 1.716, rel. 17
- 59.01°, d 1.565, rel. 25
- 71.69°, d 1.317, rel. 13
- 73.58°, d 1.287, rel. 16
- 76.55°, d 1.245, rel. 23

=====

For Ac2Te2HO2, a DFT-relaxed cell (GGA-PBE, Alexandria) gives the computed powder diffraction line list in this record (Cu Kα (weighted mean of Kα1 and Kα2)).

Structural model:
```
data_Ac2Te2HO2
_chemical_formula_sum 'Ac2 Te2 H1 O2'
_space_group_name_H-M_alt 'P -3 m 1'
_space_group_IT_number 164
_space_group_name_Hall '-P 3 2"'
_cell_length_a 4.2322
_cell_length_b 4.2322
_cell_length_c 11.9005
_cell_angle_alpha 90.00
_cell_angle_beta 90.00
_cell_angle_gamma 120.00
loop_
_atom_site_label
_atom_site_type_symbol
_atom_site_fract_x
_atom_site_fract_y
_atom_site_fract_z
Ac1 Ac 0.3333 0.6667 0.1343
Te1 Te 0.0000 0.0000 0.3375
H1 H 0.0000 0.0000 0.5000
O1 O 0.3333 0.6667 0.9213
```

Top 10 peaks for 2θ from 10° to 80°, low angle first:
- 25.43°, d 3.503, rel. 100
- 28.60°, d 3.121, rel. 62
- 30.04°, d 2.975, rel. 24
- 33.28°, d 2.692, rel. 68
- 42.73°, d 2.116, rel. 42
- 45.45°, d 1.996, rel. 20
- 50.38°, d 1.811, rel. 16
- 53.11°, d 1.724, rel. 29
- 55.21°, d 1.664, rel. 17
- 72.24°, d 1.308, rel. 15